1.
The following is a computed powder diffraction line list of BaTbSi4. It was derived from a crystal structure in Alexandria, relaxed with GGA-PBE, using CuKα.

Principal peaks in the range 2θ = 10–90°, by angle:
- 19.9°, rel. 39.9
- 23.1°, rel. 48.6
- 28.2°, rel. 31.3
- 30.3°, rel. 54.1
- 30.7°, rel. 100.0
- 32.4°, rel. 52.3
- 34.8°, rel. 73.8
- 40.5°, rel. 38.1

Structural model:
a b c (Å): 7.9352 15.7304 4.4548
angles (deg): 90.00 90.00 90.00
Fractional positions:
Ba1 0.1227 0.1518 0.0000
Ba2 0.3773 0.6518 0.0000
Ba3 0.6227 0.3482 0.0000
Ba4 0.8773 0.8482 0.0000
Tb1 0.1302 0.4125 0.0000
Tb2 0.3698 0.9125 0.0000
Tb3 0.6302 0.0875 0.0000
Tb4 0.8698 0.5875 0.0000
Si1 0.0262 0.6928 0.5000
Si2 0.1215 0.5452 0.5000
Si3 0.1277 0.9567 0.5000
Si4 0.2224 0.8079 0.5000
Si5 0.2776 0.3079 0.5000
Si6 0.3723 0.4567 0.5000
Si7 0.3785 0.0452 0.5000
Si8 0.4738 0.1928 0.5000
Si9 0.5262 0.8072 0.5000
Si10 0.6215 0.9548 0.5000
Si11 0.6277 0.5433 0.5000
Si12 0.7224 0.6921 0.5000
Si13 0.7776 0.1921 0.5000
Si14 0.8723 0.0433 0.5000
Si15 0.8785 0.4548 0.5000
Si16 0.9738 0.3072 0.5000

=====

2.
The following is a computed powder diffraction line list of LaMgHgGe. It was derived from a crystal structure in Alexandria, relaxed with GGA-PBE, using CuKα.

Principal peaks in the range 2θ = 10–90°, by angle:
- 21.0°, rel. 33.0
- 34.6°, rel. 100.0
- 40.8°, rel. 18.6
- 49.8°, rel. 17.9
- 54.6°, rel. 8.1
- 62.0°, rel. 37.0
- 73.0°, rel. 11.4
- 83.4°, rel. 16.3

Structural model:
a b c (Å): 5.1836 5.1836 5.1836
angles (deg): 60.00 60.00 60.00
Fractional positions:
La1 0.0000 0.0000 0.0000
Mg1 0.5000 0.5000 0.5000
Hg1 0.2500 0.2500 0.2500
Ge1 0.7500 0.7500 0.7500

=====

3.
The following is a computed powder diffraction line list of LaNd12Sm7. It was derived from a crystal structure in Alexandria, relaxed with GGA-PBE, using CuKα.

Principal peaks in the range 2θ = 10–90°, by angle:
- 26.1°, rel. 29.2
- 30.5°, rel. 62.5
- 31.1°, rel. 100.0
- 32.3°, rel. 25.0
- 33.9°, rel. 20.7
- 45.6°, rel. 18.7
- 47.9°, rel. 24.7
- 58.3°, rel. 22.2

Structural model:
a b c (Å): 10.3474 10.3474 10.3474
angles (deg): 113.17 113.17 113.17
Fractional positions:
La1 0.0000 0.0000 0.0000
Nd1 0.0413 0.3576 0.3576
Nd2 0.2135 0.5000 0.7865
Nd3 0.2135 0.7865 0.5000
Nd4 0.3576 0.0413 0.3576
Nd5 0.3576 0.3576 0.0413
Nd6 0.5000 0.2135 0.7865
Nd7 0.5000 0.7865 0.2135
Nd8 0.6424 0.6424 0.9587
Nd9 0.6424 0.9587 0.6424
Nd10 0.7865 0.2135 0.5000
Nd11 0.7865 0.5000 0.2135
Nd12 0.9587 0.6424 0.6424
Sm1 0.0666 0.0666 0.4085
Sm2 0.0666 0.4085 0.0666
Sm3 0.4085 0.0666 0.0666
Sm4 0.5000 0.5000 0.5000
Sm5 0.5915 0.9334 0.9334
Sm6 0.9334 0.5915 0.9334
Sm7 0.9334 0.9334 0.5915

=====

4.
The following is a computed powder diffraction line list of NaAg2Br8. It was derived from a crystal structure in Alexandria, relaxed with GGA-PBE, using CuKα.

Principal peaks in the range 2θ = 10–90°, by angle:
- 16.0°, rel. 41.8
- 22.7°, rel. 64.3
- 26.7°, rel. 30.5
- 32.4°, rel. 73.8
- 39.9°, rel. 100.0
- 48.7°, rel. 25.5
- 49.4°, rel. 23.2
- 62.9°, rel. 27.2

Structural model:
a b c (Å): 7.8228 7.8228 7.8228
angles (deg): 120.00 120.00 90.00
Fractional positions:
Na1 0.0000 0.0000 0.0000
Ag1 0.2500 0.7500 0.5000
Ag2 0.7500 0.2500 0.5000
Br1 0.0947 0.5907 0.9238
Br2 0.1709 0.0947 0.5040
Br3 0.3331 0.4093 0.5040
Br4 0.4093 0.9053 0.0762
Br5 0.5907 0.6669 0.4960
Br6 0.6669 0.1709 0.0762
Br7 0.8291 0.3331 0.9238
Br8 0.9053 0.8291 0.4960

=====

5.
The following is a computed powder diffraction line list of Li2MgIr. It was derived from a crystal structure in Alexandria, relaxed with GGA-PBE, using CuKα.

Principal peaks in the range 2θ = 10–90°, by angle:
- 24.9°, rel. 100.0
- 28.8°, rel. 40.6
- 41.1°, rel. 59.9
- 48.7°, rel. 50.3
- 65.6°, rel. 20.8
- 67.5°, rel. 15.0
- 75.0°, rel. 20.4
- 80.4°, rel. 15.9

Structural model:
a b c (Å): 6.2057 6.2057 6.2057
angles (deg): 90.00 90.00 90.00
Fractional positions:
Li1 0.0000 0.0000 0.0000
Li2 0.0000 0.0000 0.5000
Li3 0.0000 0.5000 0.0000
Li4 0.2315 0.2315 0.7685
Li5 0.2315 0.7685 0.2315
Li6 0.5000 0.0000 0.0000
Li7 0.7685 0.2315 0.2315
Li8 0.7685 0.7685 0.7685
Mg1 0.0000 0.5000 0.5000
Mg2 0.5000 0.0000 0.5000
Mg3 0.5000 0.5000 0.0000
Mg4 0.5000 0.5000 0.5000
Ir1 0.2476 0.2476 0.2476
Ir2 0.2476 0.7524 0.7524
Ir3 0.7524 0.2476 0.7524
Ir4 0.7524 0.7524 0.2476

=====

6.
The following is a computed powder diffraction line list of KPa3O8. It was derived from a crystal structure in Alexandria, relaxed with GGA-PBE, using CuKα.

Principal peaks in the range 2θ = 10–90°, by angle:
- 11.2°, rel. 100.0
- 20.0°, rel. 17.7
- 28.1°, rel. 19.9
- 28.7°, rel. 41.7
- 30.9°, rel. 38.9
- 36.8°, rel. 20.5
- 38.1°, rel. 13.1
- 52.2°, rel. 13.1

Structural model:
a b c (Å): 6.2277 6.2277 7.8749
angles (deg): 90.00 90.00 120.00
Fractional positions:
K1 0.0000 0.0000 0.0000
Pa1 0.0000 0.0000 0.5000
Pa2 0.3333 0.6667 0.5803
Pa3 0.6667 0.3333 0.4197
O1 0.0408 0.3412 0.3913
O2 0.3004 0.9592 0.3913
O3 0.3333 0.6667 0.8209
O4 0.3412 0.3004 0.6087
O5 0.6588 0.6996 0.3913
O6 0.6667 0.3333 0.1791
O7 0.6996 0.0408 0.6087
O8 0.9592 0.6588 0.6087

=====

7.
The following is a computed powder diffraction line list of Pm3Tl4GaS8. It was derived from a crystal structure in Alexandria, relaxed with GGA-PBE, using CuKα.

Principal peaks in the range 2θ = 10–90°, by angle:
- 23.7°, rel. 29.4
- 26.6°, rel. 61.4
- 30.0°, rel. 100.0
- 41.1°, rel. 38.5
- 44.7°, rel. 33.7
- 48.0°, rel. 16.6
- 51.2°, rel. 24.2
- 54.8°, rel. 17.8

Structural model:
a b c (Å): 8.8431 8.8431 8.8431
angles (deg): 54.56 54.56 54.56
Fractional positions:
Pm1 0.0000 0.5000 0.5000
Pm2 0.5000 0.0000 0.5000
Pm3 0.5000 0.5000 0.0000
Tl1 0.0000 0.0000 0.5000
Tl2 0.0000 0.5000 0.0000
Tl3 0.5000 0.0000 0.0000
Tl4 0.5000 0.5000 0.5000
Ga1 0.0000 0.0000 0.0000
S1 0.2192 0.2192 0.7560
S2 0.2192 0.7560 0.2192
S3 0.2440 0.7808 0.7808
S4 0.2648 0.2648 0.2648
S5 0.7352 0.7352 0.7352
S6 0.7560 0.2192 0.2192
S7 0.7808 0.2440 0.7808
S8 0.7808 0.7808 0.2440

=====

8.
The following is a computed powder diffraction line list of Ce2InGa3Au4. It was derived from a crystal structure in Alexandria, relaxed with GGA-PBE, using CuKα.

Principal peaks in the range 2θ = 10–90°, by angle:
- 31.5°, rel. 30.2
- 33.0°, rel. 100.0
- 41.1°, rel. 56.9
- 43.6°, rel. 31.3
- 45.5°, rel. 25.0
- 59.5°, rel. 19.1
- 63.0°, rel. 19.0
- 69.7°, rel. 23.0

Structural model:
a b c (Å): 4.3967 4.3967 11.1699
angles (deg): 90.00 90.00 90.00
Fractional positions:
Ce1 0.0000 0.5000 0.2372
Ce2 0.5000 0.0000 0.7628
In1 0.0000 0.0000 0.5000
Ga1 0.0000 0.5000 0.8719
Ga2 0.5000 0.0000 0.1281
Ga3 0.5000 0.5000 0.5000
Au1 0.0000 0.0000 0.0000
Au2 0.0000 0.5000 0.6480
Au3 0.5000 0.0000 0.3520
Au4 0.5000 0.5000 0.0000